Theoretical powder X-ray diffraction pattern
Compound: SmMgRh
Radiation: Cu Ka
Structure: a DFT-relaxed cell (GGA-PBE, Alexandria)
Peak positions follow from Bragg's law for the DFT cell and can differ from measured ones.

Largest 10 diffraction maxima, low angle first, 2θ = 10–80°:
2θ/deg  d_spacing  intensity
14.58  6.077  31
20.23  4.390  76
29.95  2.983  43
31.81  2.813  35
33.74  2.656  100
38.93  2.314  95
41.13  2.195  59
66.94  1.398  27
68.34  1.373  26
68.92  1.362  25

Cell and atoms:
```
SmMgRh
1.0
1.759 -6.077 0.000
1.759 6.077 0.000
0.000 0.000 6.348
Sm Mg Rh
2 2 2
direct
0.146 0.854 0.750
0.854 0.146 0.250
0.113 0.887 0.250
0.887 0.113 0.750
0.500 0.500 0.000
0.500 0.500 0.500
```


Theoretical powder X-ray diffraction pattern
Compound: PmNbTc
Radiation: Cu Ka
Structure: a DFT-relaxed cell (GGA-PBE, Alexandria)
Peak positions follow from Bragg's law for the DFT cell and can differ from measured ones.

Largest 10 diffraction maxima, low angle first, 2θ = 10–80°:
2θ/deg  d_spacing  intensity
25.92  3.437  23
33.31  2.690  100
40.38  2.234  76
43.15  2.096  28
53.31  1.718  26
60.57  1.529  10
65.02  1.434  16
68.94  1.362  24
73.41  1.290  13
75.33  1.262  10

Cell and atoms:
```
PmNbTc
1.0
4.468 0.000 0.000
-2.234 3.869 0.000
0.000 0.000 7.483
Pm Nb Tc
2 2 2
direct
0.333 0.667 0.369
0.667 0.333 0.631
0.333 0.667 0.923
0.667 0.333 0.077
0.000 0.000 0.180
0.000 0.000 0.820
```